Entry 1:
For Cs4La3SmTe8, DFT lattice parameters and positions (GGA-PBE) gives the simulated powder diffraction line list in this record (CuKα).
Peak positions follow from Bragg's law for the DFT cell and can differ from measured ones.

Principal peaks in the range 2θ = 10–90°, in order of rising 2θ:
- 25.47 deg, intensity 100
- 31.98 deg, intensity 8
- 34.57 deg, intensity 33
- 38.00 deg, intensity 38
- 43.20 deg, intensity 7
- 46.30 deg, intensity 20
- 52.31 deg, intensity 10
- 56.66 deg, intensity 9
- 61.39 deg, intensity 17
- 66.46 deg, intensity 10

Crystal structure
a b c (Å): 9.4714 9.4714 26.7963
angles (deg): 90.00 90.00 120.00
Space group R-3m (No. 166, hexagonal axes)
Unique sites:
1 Cs 0.0000 0.0000 0.0000 (multiplicity 3)
2 Cs 0.0000 0.5000 0.0000 (multiplicity 9)
3 La 0.0000 0.5000 0.5000 (multiplicity 9)
4 Sm 0.0000 0.0000 0.5000 (multiplicity 3)
5 Te 0.0000 0.0000 0.2323 (multiplicity 6)
6 Te 0.0060 0.5030 0.2315 (multiplicity 18)

=====

Entry 2:
For CeSmAg4, DFT lattice parameters and positions (GGA-PBE) gives the simulated powder diffraction line list in this record (CuKα).
Peak positions follow from Bragg's law for the DFT cell and can differ from measured ones.

Principal peaks in the range 2θ = 10–90°, in order of rising 2θ:
- 34.38 deg, intensity 100
- 36.77 deg, intensity 86
- 46.16 deg, intensity 4
- 51.22 deg, intensity 32
- 55.49 deg, intensity 8
- 64.70 deg, intensity 31
- 66.23 deg, intensity 15
- 68.44 deg, intensity 26
- 78.22 deg, intensity 9
- 88.32 deg, intensity 13

Crystal structure
a b c (Å): 3.312 4.887 8.468
angles (deg): 90.00 90.00 90.00
Space group Pmmm (No. 47)
Unique sites:
1 Ce 0.000 0.000 0.000 (multiplicity 1)
2 Sm 0.000 0.500 0.500 (multiplicity 1)
3 Ag 0.500 0.000 0.335 (multiplicity 2)
4 Ag 0.500 0.500 0.168 (multiplicity 2)

=====

Entry 3:
For Er2MgC, DFT lattice parameters and positions (GGA-PBE) gives the simulated powder diffraction line list in this record (CuKα).
Peak positions follow from Bragg's law for the DFT cell and can differ from measured ones.

Principal peaks in the range 2θ = 10–90°, in order of rising 2θ:
- 10.25 deg, intensity 92
- 29.58 deg, intensity 100
- 31.10 deg, intensity 36
- 31.38 deg, intensity 56
- 36.31 deg, intensity 38
- 43.45 deg, intensity 76
- 52.11 deg, intensity 16
- 52.48 deg, intensity 28
- 62.27 deg, intensity 30
- 70.43 deg, intensity 18

Crystal structure
a b c (Å): 3.4872 3.4872 8.6280
angles (deg): 90.00 90.00 120.00
Space group P-6m2 (No. 187)
Unique sites:
1 Er 0.0000 0.0000 0.1651 (multiplicity 2)
2 Mg 0.3333 0.6667 0.5000 (multiplicity 1)
3 C 0.6667 0.3333 0.0000 (multiplicity 1)

=====

Entry 4:
For MoPd2, DFT lattice parameters and positions (GGA-PBE) gives the simulated powder diffraction line list in this record (CuKα).
Peak positions follow from Bragg's law for the DFT cell and can differ from measured ones.

Principal peaks in the range 2θ = 10–90°, in order of rising 2θ:
- 36.93 deg, intensity 13
- 37.30 deg, intensity 23
- 40.00 deg, intensity 39
- 42.20 deg, intensity 49
- 42.53 deg, intensity 100
- 55.84 deg, intensity 14
- 66.79 deg, intensity 17
- 74.40 deg, intensity 18
- 80.79 deg, intensity 20
- 82.92 deg, intensity 13

Crystal structure
a b c (Å): 8.324 4.868 4.508
angles (deg): 90.00 90.00 90.00
Space group Cmcm (No. 63)
Unique sites:
1 Mo 0.000 0.168 0.250 (multiplicity 4)
2 Pd 0.166 0.331 0.750 (multiplicity 8)

=====

Entry 5:
For TbSmNiI, DFT lattice parameters and positions (GGA-PBE) gives the simulated powder diffraction line list in this record (CuKα).
Peak positions follow from Bragg's law for the DFT cell and can differ from measured ones.

Principal peaks in the range 2θ = 10–90°, in order of rising 2θ:
- 25.63 deg, intensity 20
- 26.45 deg, intensity 14
- 29.53 deg, intensity 49
- 31.66 deg, intensity 100
- 33.92 deg, intensity 18
- 44.68 deg, intensity 47
- 46.09 deg, intensity 18
- 55.79 deg, intensity 20
- 57.25 deg, intensity 24
- 74.13 deg, intensity 17

Crystal structure
a b c (Å): 4.0568 4.0568 23.7843
angles (deg): 90.00 90.00 120.00
Space group R3m (No. 160, hexagonal axes)
Unique sites:
1 Tb 0.0000 0.0000 0.0000 (multiplicity 3)
2 Sm 0.0000 0.0000 0.2134 (multiplicity 3)
3 Ni 0.0000 0.0000 0.6078 (multiplicity 3)
4 I 0.0000 0.0000 0.4377 (multiplicity 3)

=====

Entry 6:
For LiHoHg4, DFT lattice parameters and positions (GGA-PBE) gives the simulated powder diffraction line list in this record (CuKα).
Peak positions follow from Bragg's law for the DFT cell and can differ from measured ones.

Principal peaks in the range 2θ = 10–90°, in order of rising 2θ:
- 33.47 deg, intensity 100
- 36.67 deg, intensity 80
- 36.94 deg, intensity 39
- 37.34 deg, intensity 37
- 47.30 deg, intensity 20
- 48.83 deg, intensity 16
- 61.48 deg, intensity 18
- 61.75 deg, intensity 17
- 62.32 deg, intensity 16
- 62.86 deg, intensity 16

Crystal structure
a b c (Å): 10.212 3.844 7.461
angles (deg): 90.00 110.83 90.00
Space group C2/m (No. 12)
Unique sites:
1 Li 0.000 0.000 0.000 (multiplicity 2)
2 Ho 0.000 0.000 0.500 (multiplicity 2)
3 Hg 0.163 0.500 0.845 (multiplicity 4)
4 Hg 0.164 0.500 0.318 (multiplicity 4)

=====

Entry 7:
For Tb2MgTl3, DFT lattice parameters and positions (GGA-PBE) gives the simulated powder diffraction line list in this record (CuKα).
Peak positions follow from Bragg's law for the DFT cell and can differ from measured ones.

Principal peaks in the range 2θ = 10–90°, in order of rising 2θ:
- 21.54 deg, intensity 13
- 32.51 deg, intensity 100
- 35.32 deg, intensity 89
- 43.90 deg, intensity 10
- 48.76 deg, intensity 32
- 51.77 deg, intensity 10
- 61.63 deg, intensity 32
- 63.40 deg, intensity 16
- 64.23 deg, intensity 32
- 86.19 deg, intensity 14

Crystal structure
a b c (Å): 7.063 10.156 17.618
angles (deg): 90.00 90.00 90.00
Space group Fmmm (No. 69)
Unique sites:
1 Tb 0.244 0.000 0.000 (multiplicity 8)
2 Tb 0.250 0.250 0.250 (multiplicity 8)
3 Mg 0.000 0.000 0.333 (multiplicity 8)
4 Tl 0.000 0.000 0.171 (multiplicity 8)
5 Tl 0.000 0.242 0.414 (multiplicity 16)

=====

Entry 8:
For Ba2NaHg3Pb4, DFT lattice parameters and positions (GGA-PBE) gives the simulated powder diffraction line list in this record (CuKα).
Peak positions follow from Bragg's law for the DFT cell and can differ from measured ones.

Principal peaks in the range 2θ = 10–90°, in order of rising 2θ:
- 18.97 deg, intensity 38
- 26.96 deg, intensity 48
- 28.62 deg, intensity 100
- 35.90 deg, intensity 73
- 37.23 deg, intensity 58
- 38.51 deg, intensity 48
- 51.69 deg, intensity 27
- 53.67 deg, intensity 36
- 60.15 deg, intensity 25
- 67.98 deg, intensity 26

Crystal structure
a b c (Å): 5.002 5.002 13.221
angles (deg): 90.00 90.00 90.00
Space group P-4m2 (No. 115)
Unique sites:
1 Ba 0.000 0.500 0.247 (multiplicity 2)
2 Na 0.000 0.000 0.500 (multiplicity 1)
3 Hg 0.000 0.500 0.857 (multiplicity 2)
4 Hg 0.500 0.500 0.500 (multiplicity 1)
5 Pb 0.000 0.000 0.000 (multiplicity 1)
6 Pb 0.000 0.500 0.638 (multiplicity 2)
7 Pb 0.500 0.500 0.000 (multiplicity 1)